No. 1
For CsRbGeS, the GGA-PBE geometry in Alexandria gives the computed powder diffraction line list in this record (CuKα).
Peak positions follow from Bragg's law for the DFT cell and can differ from measured ones.

```
data_CsRbGeS
_chemical_formula_sum 'Cs2 Rb2 Ge2 S2'
_cell_length_a 6.260
_cell_length_b 4.350
_cell_length_c 14.029
_cell_angle_alpha 90.00
_cell_angle_beta 90.00
_cell_angle_gamma 90.00
_symmetry_space_group_name_H-M 'A m m 2'
_symmetry_Int_Tables_number 38
loop_
_symmetry_equiv_pos_as_xyz
'x,y,z'
'-x,-y,z'
'-x,y,z'
'x,-y,z'
'x,y+1/2,z+1/2'
'-x,-y+1/2,z+1/2'
'-x,y+1/2,z+1/2'
'x,-y+1/2,z+1/2'
loop_
_atom_site_label
_atom_site_type_symbol
_atom_site_fract_x
_atom_site_fract_y
_atom_site_fract_z
Cs1 Cs 0.000 0.000 0.000
Rb1 Rb 0.500 0.000 0.761
Ge1 Ge 0.000 0.000 0.278
S1 S 0.000 0.000 0.691
```

Main lines, sorted by position (2θ = 10–90°):
two_theta	Rel. int.	(hkl)
14.15	64	1 0 0
25.40	51	0 0 4
25.74	68	1 1 1
28.52	53	2 0 0
31.52	100	1 1 3
52.38	53	1 1 7

---

No. 2
For CsRbZnGeSe, the GGA-PBE geometry in Alexandria gives the computed powder diffraction line list in this record (CuKα).
Peak positions follow from Bragg's law for the DFT cell and can differ from measured ones.

```
data_CsRbZnGeSe
_chemical_formula_sum 'Cs1 Rb1 Zn1 Ge1 Se1'
_cell_length_a 4.689
_cell_length_b 6.933
_cell_length_c 7.708
_cell_angle_alpha 73.11
_cell_angle_beta 73.05
_cell_angle_gamma 70.31
_symmetry_space_group_name_H-M 'P 1'
_symmetry_Int_Tables_number 1
loop_
_symmetry_equiv_pos_as_xyz
'x,y,z'
loop_
_atom_site_label
_atom_site_type_symbol
_atom_site_fract_x
_atom_site_fract_y
_atom_site_fract_z
Cs1 Cs 0.000 0.000 0.000
Rb1 Rb 0.462 0.496 0.559
Zn1 Zn 0.205 0.055 0.507
Ge1 Ge 0.771 0.923 0.508
Se1 Se 0.742 0.686 0.822
```

Main lines, sorted by position (2θ = 10–90°):
two_theta	Rel. int.	(hkl)
12.29	32	0 0 1
13.89	42	0 1 0
24.72	33	0 0 2
28.02	100	1 2 1
33.32	26	0 2 2
38.39	29	2 1 1

---

No. 3
For Cs2RbZnGeSe, the GGA-PBE geometry in Alexandria gives the computed powder diffraction line list in this record (CuKα).
Peak positions follow from Bragg's law for the DFT cell and can differ from measured ones.

```
data_Cs2RbZnGeSe
_chemical_formula_sum 'Cs4 Rb2 Zn2 Ge2 Se2'
_cell_length_a 10.818
_cell_length_b 6.251
_cell_length_c 8.750
_cell_angle_alpha 90.00
_cell_angle_beta 114.23
_cell_angle_gamma 90.00
_symmetry_space_group_name_H-M 'C 1 m 1'
_symmetry_Int_Tables_number 8
loop_
_symmetry_equiv_pos_as_xyz
'x,y,z'
'x,-y,z'
'x+1/2,y+1/2,z'
'x+1/2,-y+1/2,z'
loop_
_atom_site_label
_atom_site_type_symbol
_atom_site_fract_x
_atom_site_fract_y
_atom_site_fract_z
Cs1 Cs 0.000 0.000 0.000
Cs2 Cs 0.236 0.000 0.706
Rb1 Rb 0.480 0.000 0.437
Zn1 Zn 0.230 0.500 0.191
Ge1 Ge 0.330 0.500 0.486
Se1 Se 0.131 0.500 0.895
```

Main lines, sorted by position (2θ = 10–90°):
two_theta	Rel. int.	(hkl)
22.15	48	2 0 -2
24.83	37	1 1 -2
28.57	100	0 2 0
34.24	33	2 0 2
50.61	20	6 0 -2
54.33	17	5 1 1

---

No. 4
For Cs2RbZnGe2, the GGA-PBE geometry in Alexandria gives the computed powder diffraction line list in this record (CuKα).
Peak positions follow from Bragg's law for the DFT cell and can differ from measured ones.

```
data_Cs2RbZnGe2
_chemical_formula_sum 'Cs2 Rb1 Zn1 Ge2'
_cell_length_a 4.254
_cell_length_b 6.529
_cell_length_c 9.139
_cell_angle_alpha 90.00
_cell_angle_beta 90.98
_cell_angle_gamma 90.00
_symmetry_space_group_name_H-M 'P 1 m 1'
_symmetry_Int_Tables_number 6
loop_
_symmetry_equiv_pos_as_xyz
'x,y,z'
'x,-y,z'
loop_
_atom_site_label
_atom_site_type_symbol
_atom_site_fract_x
_atom_site_fract_y
_atom_site_fract_z
Cs1 Cs 0.000 0.000 0.000
Cs2 Cs 0.046 0.500 0.713
Rb1 Rb 0.129 0.000 0.429
Zn1 Zn 0.050 0.500 0.216
Ge1 Ge 0.541 0.500 0.066
Ge2 Ge 0.559 0.500 0.366
```

Main lines, sorted by position (2θ = 10–90°):
two_theta	Rel. int.	(hkl)
20.88	35	1 0 0
23.77	100	0 1 2
26.72	48	1 1 -1
27.32	93	0 2 0
31.62	58	1 1 -2
32.07	84	1 1 2

---

No. 5
For CsRbZnGe, the GGA-PBE geometry in Alexandria gives the computed powder diffraction line list in this record (CuKα).
Peak positions follow from Bragg's law for the DFT cell and can differ from measured ones.

```
data_CsRbZnGe
_chemical_formula_sum 'Cs2 Rb2 Zn2 Ge2'
_cell_length_a 4.525
_cell_length_b 6.495
_cell_length_c 10.783
_cell_angle_alpha 90.00
_cell_angle_beta 90.00
_cell_angle_gamma 90.00
_symmetry_space_group_name_H-M 'I m m 2'
_symmetry_Int_Tables_number 44
loop_
_symmetry_equiv_pos_as_xyz
'x,y,z'
'-x,-y,z'
'-x,y,z'
'x,-y,z'
'x+1/2,y+1/2,z+1/2'
'-x+1/2,-y+1/2,z+1/2'
'-x+1/2,y+1/2,z+1/2'
'x+1/2,-y+1/2,z+1/2'
loop_
_atom_site_label
_atom_site_type_symbol
_atom_site_fract_x
_atom_site_fract_y
_atom_site_fract_z
Cs1 Cs 0.000 0.000 0.000
Rb1 Rb 0.000 0.500 0.821
Zn1 Zn 0.000 0.500 0.190
Ge1 Ge 0.000 0.000 0.616
```

Main lines, sorted by position (2θ = 10–90°):
two_theta	Rel. int.	(hkl)
21.29	36	1 0 1
27.46	56	0 2 0
28.38	84	0 1 3
29.20	100	1 1 2
49.09	40	2 2 0
49.64	57	2 1 3

---

No. 6
For Cs2RbZnGe2, the GGA-PBE geometry in Alexandria gives the computed powder diffraction line list in this record (CuKα).
Peak positions follow from Bragg's law for the DFT cell and can differ from measured ones.

```
data_Cs2RbZnGe2
_chemical_formula_sum 'Cs2 Rb1 Zn1 Ge2'
_cell_length_a 5.186
_cell_length_b 6.211
_cell_length_c 8.842
_cell_angle_alpha 90.35
_cell_angle_beta 96.00
_cell_angle_gamma 94.55
_symmetry_space_group_name_H-M 'P 1'
_symmetry_Int_Tables_number 1
loop_
_symmetry_equiv_pos_as_xyz
'x,y,z'
loop_
_atom_site_label
_atom_site_type_symbol
_atom_site_fract_x
_atom_site_fract_y
_atom_site_fract_z
Cs1 Cs 0.000 0.000 0.000
Cs2 Cs 0.362 0.503 0.693
Rb1 Rb 0.834 0.495 0.310
Zn1 Zn 0.130 0.000 0.462
Ge1 Ge 0.510 0.972 0.322
Ge2 Ge 0.734 0.021 0.591
```

Main lines, sorted by position (2θ = 10–90°):
two_theta	Rel. int.	(hkl)
10.06	37	0 0 1
20.92	37	1 0 1
23.14	59	-1 1 1
24.66	100	1 1 -1
25.01	38	0 1 2
28.84	78	0 2 0

---

No. 7
For Cs2RbZnGe2, the GGA-PBE geometry in Alexandria gives the computed powder diffraction line list in this record (CuKα).
Peak positions follow from Bragg's law for the DFT cell and can differ from measured ones.

```
data_Cs2RbZnGe2
_chemical_formula_sum 'Cs4 Rb2 Zn2 Ge4'
_cell_length_a 13.838
_cell_length_b 4.244
_cell_length_c 8.740
_cell_angle_alpha 90.00
_cell_angle_beta 94.30
_cell_angle_gamma 90.00
_symmetry_space_group_name_H-M 'C 1 m 1'
_symmetry_Int_Tables_number 8
loop_
_symmetry_equiv_pos_as_xyz
'x,y,z'
'x,-y,z'
'x+1/2,y+1/2,z'
'x+1/2,-y+1/2,z'
loop_
_atom_site_label
_atom_site_type_symbol
_atom_site_fract_x
_atom_site_fract_y
_atom_site_fract_z
Cs1 Cs 0.000 0.000 0.000
Cs2 Cs 0.228 0.500 0.711
Rb1 Rb 0.454 0.000 0.416
Zn1 Zn 0.167 0.000 0.344
Ge1 Ge 0.262 0.500 0.231
Ge2 Ge 0.273 0.000 0.059
```

Main lines, sorted by position (2θ = 10–90°):
two_theta	Rel. int.	(hkl)
23.99	100	1 1 -1
24.97	72	2 0 2
25.83	67	4 0 0
30.43	53	1 1 2
30.94	78	3 1 1
34.50	50	3 1 -2

---

No. 8
For Cs2RbZnGe2, the GGA-PBE geometry in Alexandria gives the computed powder diffraction line list in this record (CuKα).
Peak positions follow from Bragg's law for the DFT cell and can differ from measured ones.

```
data_Cs2RbZnGe2
_chemical_formula_sum 'Cs2 Rb1 Zn1 Ge2'
_cell_length_a 4.181
_cell_length_b 7.768
_cell_length_c 8.529
_cell_angle_alpha 63.15
_cell_angle_beta 89.83
_cell_angle_gamma 74.39
_symmetry_space_group_name_H-M 'P 1'
_symmetry_Int_Tables_number 1
loop_
_symmetry_equiv_pos_as_xyz
'x,y,z'
loop_
_atom_site_label
_atom_site_type_symbol
_atom_site_fract_x
_atom_site_fract_y
_atom_site_fract_z
Cs1 Cs 0.000 0.000 0.000
Cs2 Cs 0.002 0.979 0.534
Rb1 Rb 0.266 0.451 0.104
Zn1 Zn 0.726 0.531 0.724
Ge1 Ge 0.281 0.424 0.560
Ge2 Ge 0.682 0.625 0.372
```

Main lines, sorted by position (2θ = 10–90°):
two_theta	Rel. int.	(hkl)
22.30	40	1 0 0
23.62	45	0 0 2
26.25	58	0 2 2
26.97	64	0 2 0
29.45	100	1 2 0
30.25	92	1 0 -2

---

No. 9
For CsSc2GeS, the GGA-PBE geometry in Alexandria gives the computed powder diffraction line list in this record (CuKα).
Peak positions follow from Bragg's law for the DFT cell and can differ from measured ones.

```
data_CsSc2GeS
_chemical_formula_sum 'Cs1 Sc2 Ge1 S1'
_cell_length_a 5.172
_cell_length_b 5.172
_cell_length_c 6.024
_cell_angle_alpha 90.00
_cell_angle_beta 90.00
_cell_angle_gamma 90.00
_symmetry_space_group_name_H-M 'P 4/m m m'
_symmetry_Int_Tables_number 123
_symmetry_space_group_name_Hall '-P 4 2'
loop_
_atom_site_label
_atom_site_type_symbol
_atom_site_fract_x
_atom_site_fract_y
_atom_site_fract_z
Cs1 Cs 0.000 0.000 0.000
Sc1 Sc 0.000 0.500 0.500
Ge1 Ge 0.500 0.500 0.500
S1 S 0.500 0.500 0.000
```

Main lines, sorted by position (2θ = 10–90°):
two_theta	Rel. int.	(hkl)
22.66	100	1 0 1
28.55	62	1 1 1
29.66	48	0 0 2
34.69	62	2 0 0
41.84	41	2 1 1
46.27	53	2 0 2

---

No. 10
For Cs2UGe2S6, the GGA-PBE geometry in Alexandria gives the computed powder diffraction line list in this record (CuKα).
Peak positions follow from Bragg's law for the DFT cell and can differ from measured ones.

```
data_Cs2UGe2S6
_chemical_formula_sum 'Cs4 U2 Ge4 S12'
_cell_length_a 12.745
_cell_length_b 7.384
_cell_length_c 8.196
_cell_angle_alpha 90.00
_cell_angle_beta 122.11
_cell_angle_gamma 90.00
_symmetry_space_group_name_H-M 'C 1 2/m 1'
_symmetry_Int_Tables_number 12
loop_
_symmetry_equiv_pos_as_xyz
'x,y,z'
'-x,-y,-z'
'-x,y,-z'
'x,-y,z'
'x+1/2,y+1/2,z'
'-x+1/2,-y+1/2,-z'
'-x+1/2,y+1/2,-z'
'x+1/2,-y+1/2,z'
loop_
_atom_site_label
_atom_site_type_symbol
_atom_site_fract_x
_atom_site_fract_y
_atom_site_fract_z
Cs1 Cs 0.223 0.000 0.209
U1 U 0.000 0.000 0.500
Ge1 Ge 0.048 0.500 0.181
S1 S 0.026 0.249 0.758
S2 S 0.243 0.000 0.672
```

Main lines, sorted by position (2θ = 10–90°):
two_theta	Rel. int.	(hkl)
21.88	19	2 0 -2
22.11	46	1 1 1
24.15	100	0 2 0
25.44	34	1 1 -2
32.78	40	2 2 -2
33.20	20	4 0 0

---

No. 11
For Cs2VGeS4, the GGA-PBE geometry in Alexandria gives the computed powder diffraction line list in this record (CuKα).
Peak positions follow from Bragg's law for the DFT cell and can differ from measured ones.

```
data_Cs2VGeS4
_chemical_formula_sum 'Cs16 V8 Ge8 S32'
_cell_length_a 6.568
_cell_length_b 13.966
_cell_length_c 24.419
_cell_angle_alpha 90.00
_cell_angle_beta 90.00
_cell_angle_gamma 90.00
_symmetry_space_group_name_H-M 'F d d d'
_symmetry_Int_Tables_number 70
loop_
_symmetry_equiv_pos_as_xyz
'x,y,z'
'-x,-y,-z'
'-x+1/4,-y+1/4,z'
'x+1/4,y+1/4,-z'
'x,-y+1/4,-z+1/4'
'-x,y+1/4,z+1/4'
'-x+1/4,y,-z+1/4'
'x+1/4,-y,z+1/4'
'x,y+1/2,z+1/2'
'-x,-y+1/2,-z+1/2'
'-x+1/4,-y+3/4,z+1/2'
'x+1/4,y+3/4,-z+1/2'
'x,-y+3/4,-z+3/4'
'-x,y+3/4,z+3/4'
'-x+1/4,y+1/2,-z+3/4'
'x+1/4,-y+1/2,z+3/4'
'x+1/2,y,z+1/2'
'-x+1/2,-y,-z+1/2'
'-x+3/4,-y+1/4,z+1/2'
'x+3/4,y+1/4,-z+1/2'
'x+1/2,-y+1/4,-z+3/4'
'-x+1/2,y+1/4,z+3/4'
'-x+3/4,y,-z+3/4'
'x+3/4,-y,z+3/4'
'x+1/2,y+1/2,z'
'-x+1/2,-y+1/2,-z'
'-x+3/4,-y+3/4,z'
'x+3/4,y+3/4,-z'
'x+1/2,-y+3/4,-z+1/4'
'-x+1/2,y+3/4,z+1/4'
'-x+3/4,y+1/2,-z+1/4'
'x+3/4,-y+1/2,z+1/4'
loop_
_atom_site_label
_atom_site_type_symbol
_atom_site_fract_x
_atom_site_fract_y
_atom_site_fract_z
Cs1 Cs 0.125 0.125 0.303
V1 V 0.125 0.125 0.125
Ge1 Ge 0.125 0.125 0.625
S1 S 0.097 0.288 0.423
```

Main lines, sorted by position (2θ = 10–90°):
two_theta	Rel. int.	(hkl)
18.48	64	1 1 3
25.33	85	0 2 6
25.89	100	1 3 3
29.80	44	1 3 5
30.07	48	2 2 0
35.11	47	2 0 6

---

No. 12
For Cs2ZnGeS4, the GGA-PBE geometry in Alexandria gives the computed powder diffraction line list in this record (CuKα).
Peak positions follow from Bragg's law for the DFT cell and can differ from measured ones.

```
data_Cs2ZnGeS4
_chemical_formula_sum 'Cs16 Zn8 Ge8 S32'
_cell_length_a 6.026
_cell_length_b 14.125
_cell_length_c 24.741
_cell_angle_alpha 90.00
_cell_angle_beta 90.00
_cell_angle_gamma 90.00
_symmetry_space_group_name_H-M 'F d d d'
_symmetry_Int_Tables_number 70
loop_
_symmetry_equiv_pos_as_xyz
'x,y,z'
'-x,-y,-z'
'-x+1/4,-y+1/4,z'
'x+1/4,y+1/4,-z'
'x,-y+1/4,-z+1/4'
'-x,y+1/4,z+1/4'
'-x+1/4,y,-z+1/4'
'x+1/4,-y,z+1/4'
'x,y+1/2,z+1/2'
'-x,-y+1/2,-z+1/2'
'-x+1/4,-y+3/4,z+1/2'
'x+1/4,y+3/4,-z+1/2'
'x,-y+3/4,-z+3/4'
'-x,y+3/4,z+3/4'
'-x+1/4,y+1/2,-z+3/4'
'x+1/4,-y+1/2,z+3/4'
'x+1/2,y,z+1/2'
'-x+1/2,-y,-z+1/2'
'-x+3/4,-y+1/4,z+1/2'
'x+3/4,y+1/4,-z+1/2'
'x+1/2,-y+1/4,-z+3/4'
'-x+1/2,y+1/4,z+3/4'
'-x+3/4,y,-z+3/4'
'x+3/4,-y,z+3/4'
'x+1/2,y+1/2,z'
'-x+1/2,-y+1/2,-z'
'-x+3/4,-y+3/4,z'
'x+3/4,y+3/4,-z'
'x+1/2,-y+3/4,-z+1/4'
'-x+1/2,y+3/4,z+1/4'
'-x+3/4,y+1/2,-z+1/4'
'x+3/4,-y+1/2,z+1/4'
loop_
_atom_site_label
_atom_site_type_symbol
_atom_site_fract_x
_atom_site_fract_y
_atom_site_fract_z
Cs1 Cs 0.125 0.125 0.304
Zn1 Zn 0.125 0.125 0.625
Ge1 Ge 0.125 0.125 0.125
S1 S 0.107 0.287 0.425
```

Main lines, sorted by position (2θ = 10–90°):
two_theta	Rel. int.	(hkl)
19.30	46	1 1 3
25.01	100	0 2 6
26.34	88	1 3 3
30.11	55	1 3 5
32.30	48	2 2 0
36.95	48	2 0 6